No. 1
Starting from a crystal structure in Alexandria, relaxed with GGA-PBE, the powder diffraction line list of PtBrCl3 was calculated for Cu Kα.
Intensities are scaled so that the largest is 100.

```
data_PtBrCl3
_cell_length_a 7.0682
_cell_length_b 14.5700
_cell_length_c 6.1715
_cell_angle_alpha 90.00
_cell_angle_beta 104.67
_cell_angle_gamma 90.00
_space_group_name_H-M_alt 'C 1 c 1'
_space_group_IT_number 9
_space_group_name_Hall 'C -2yc'
loop_
_atom_site_label
_atom_site_fract_x
_atom_site_fract_y
_atom_site_fract_z
Pt1 0.0000 0.0604 0.0000
Br1 0.2867 0.3205 0.5890
Cl1 0.1918 0.0596 0.3719
Cl2 0.2013 0.1709 0.9103
Cl3 0.3090 0.4430 0.1270
```

Principal peaks in the range 10° ≤ 2θ ≤ 90°, in order of rising 2θ:
2theta, d/Å, I_rel, index
12.1, 7.285, 22, 0 2 0
14.3, 6.190, 100, 1 1 0
19.2, 4.618, 34, 0 2 1
22.9, 3.876, 12, 1 1 1
25.1, 3.548, 25, 1 3 -1
28.8, 3.096, 14, 2 2 0
29.9, 2.985, 11, 0 0 2
35.3, 2.542, 13, 1 5 -1
36.3, 2.476, 18, 1 1 2
36.4, 2.468, 30, 2 4 -1



No. 2
Starting from a crystal structure in Alexandria, relaxed with GGA-PBE, the powder diffraction line list of PtBrCl3 was calculated for Cu Kα.
Intensities are scaled so that the largest is 100.

```
data_PtBrCl3
_cell_length_a 6.4528
_cell_length_b 6.5241
_cell_length_c 8.3150
_cell_angle_alpha 69.95
_cell_angle_beta 80.71
_cell_angle_gamma 76.50
_space_group_name_H-M_alt 'P 1'
_space_group_IT_number 1
_space_group_name_Hall 'P 1'
loop_
_atom_site_label
_atom_site_fract_x
_atom_site_fract_y
_atom_site_fract_z
Pt1 0.0000 0.0000 0.0000
Pt2 0.4817 0.1295 0.7726
Br1 0.1222 0.3878 0.3511
Br2 0.3349 0.0480 0.5451
Cl1 0.1377 0.3227 0.8550
Cl2 0.3545 0.8200 0.9952
Cl3 0.5698 0.4504 0.5754
Cl4 0.6495 0.1915 0.9882
Cl5 0.7948 0.9152 0.6958
Cl6 0.8754 0.6792 0.1518
```

Principal peaks in the range 10° ≤ 2θ ≤ 90°, in order of rising 2θ:
2theta, d/Å, I_rel, index
11.4, 7.780, 71, 0 0 1
14.7, 6.014, 91, 0 1 0
15.5, 5.719, 100, 0 1 1
17.4, 5.099, 27, 1 0 1
19.0, 4.673, 48, 1 0 -1
24.3, 3.661, 42, 1 1 2
24.7, 3.608, 27, 1 1 -1
33.5, 2.673, 21, 1 1 3
36.3, 2.476, 29, 1 2 -1
37.3, 2.412, 28, 1 2 3



No. 3
Starting from a crystal structure in Alexandria, relaxed with GGA-PBE, the powder diffraction line list of PuBrCl4 was calculated for Cu Kα.
Intensities are scaled so that the largest is 100.

```
data_PuBrCl4
_cell_length_a 8.1669
_cell_length_b 6.6020
_cell_length_c 7.7495
_cell_angle_alpha 90.00
_cell_angle_beta 90.85
_cell_angle_gamma 90.00
_space_group_name_H-M_alt 'P 1 21/c 1'
_space_group_IT_number 14
_space_group_name_Hall '-P 2ybc'
loop_
_atom_site_label
_atom_site_fract_x
_atom_site_fract_y
_atom_site_fract_z
Pu1 0.0000 0.0000 0.0000
Br1 0.5000 0.0000 0.0000
Cl1 0.1182 0.2466 0.7493
Cl2 0.2739 0.7383 0.5093
```

Principal peaks in the range 10° ≤ 2θ ≤ 90°, in order of rising 2θ:
2theta, d/Å, I_rel, index
10.8, 8.166, 52, 1 0 0
17.6, 5.025, 100, 0 1 1
21.8, 4.083, 18, 2 0 0
23.0, 3.874, 26, 0 0 2
28.0, 3.184, 31, 2 1 -1
28.3, 3.154, 30, 2 1 1
35.0, 2.567, 26, 2 2 0
35.7, 2.513, 20, 0 2 2
37.4, 2.406, 25, 0 1 3
42.0, 2.149, 16, 2 2 -2



No. 4
Starting from a crystal structure in Alexandria, relaxed with GGA-PBE, the powder diffraction line list of Pu2BrCl8 was calculated for Cu Kα.
Intensities are scaled so that the largest is 100.

```
data_Pu2BrCl8
_cell_length_a 14.8227
_cell_length_b 8.2961
_cell_length_c 7.8275
_cell_angle_alpha 90.00
_cell_angle_beta 112.44
_cell_angle_gamma 90.00
_space_group_name_H-M_alt 'C 1 2/m 1'
_space_group_IT_number 12
_space_group_name_Hall '-C 2y'
loop_
_atom_site_label
_atom_site_fract_x
_atom_site_fract_y
_atom_site_fract_z
Pu1 0.1951 0.0000 0.0014
Br1 0.0000 0.0000 0.0000
Cl1 0.1263 0.0000 0.6609
Cl2 0.1499 0.3134 0.0013
Cl3 0.2356 0.5000 0.6580
```

Principal peaks in the range 10° ≤ 2θ ≤ 90°, in order of rising 2θ:
2theta, d/Å, I_rel, index
12.2, 7.235, 100, 0 0 1
12.5, 7.096, 32, 1 1 0
12.9, 6.850, 37, 2 0 0
14.0, 6.323, 24, 2 0 -1
21.4, 4.143, 44, 0 2 0
24.6, 3.617, 21, 0 0 2
24.7, 3.599, 13, 0 2 1
32.1, 2.791, 29, 5 1 -1
34.4, 2.605, 28, 5 1 -2
37.3, 2.412, 12, 0 0 3



No. 5
Starting from a crystal structure in Alexandria, relaxed with GGA-PBE, the powder diffraction line list of Pu3Br7Cl was calculated for Cu Kα.
Intensities are scaled so that the largest is 100.

```
data_Pu3Br7Cl
_cell_length_a 8.5923
_cell_length_b 8.5923
_cell_length_c 6.7966
_cell_angle_alpha 90.00
_cell_angle_beta 90.00
_cell_angle_gamma 120.00
_space_group_name_H-M_alt 'P 3 m 1'
_space_group_IT_number 156
_space_group_name_Hall 'P 3 -2"'
loop_
_atom_site_label
_atom_site_fract_x
_atom_site_fract_y
_atom_site_fract_z
Pu1 0.0027 0.5014 0.0000
Br1 0.1742 0.3485 0.2337
Br2 0.3487 0.1744 0.7705
Br3 0.6667 0.3333 0.2403
Cl1 0.3333 0.6667 0.7916
```

Principal peaks in the range 10° ≤ 2θ ≤ 90°, in order of rising 2θ:
2theta, d/Å, I_rel, index
11.9, 7.441, 27, 1 0 0
13.0, 6.797, 76, 0 0 1
17.7, 5.018, 23, 1 0 1
27.3, 3.264, 100, 0 2 1
35.8, 2.509, 70, 0 2 2
42.1, 2.148, 37, 2 2 0
44.2, 2.048, 23, 2 2 1
47.0, 1.935, 29, 2 0 3
50.9, 1.794, 18, 4 0 1
56.4, 1.632, 19, 4 0 2



No. 6
Starting from a crystal structure in Alexandria, relaxed with GGA-PBE, the powder diffraction line list of PuBr2Cl5 was calculated for Cu Kα.
Intensities are scaled so that the largest is 100.

```
data_PuBr2Cl5
_cell_length_a 15.7420
_cell_length_b 5.2625
_cell_length_c 11.1663
_cell_angle_alpha 90.00
_cell_angle_beta 134.65
_cell_angle_gamma 90.00
_space_group_name_H-M_alt 'C 1 2 1'
_space_group_IT_number 5
_space_group_name_Hall 'C 2y'
loop_
_atom_site_label
_atom_site_fract_x
_atom_site_fract_y
_atom_site_fract_z
Pu1 0.0000 0.0000 0.0000
Br1 0.0000 0.2434 0.5000
Br2 0.0000 0.7435 0.5000
Cl1 0.0000 0.5000 0.0000
Cl2 0.1561 0.9998 0.9983
Cl3 0.1559 0.0008 0.3110
```

Principal peaks in the range 10° ≤ 2θ ≤ 90°, in order of rising 2θ:
2theta, d/Å, I_rel, index
15.9, 5.591, 100, 2 0 0
18.6, 4.762, 75, 1 1 0
22.4, 3.972, 33, 0 0 2
22.6, 3.935, 33, 4 0 -2
24.5, 3.628, 20, 1 1 1
35.8, 2.510, 21, 2 0 2
36.0, 2.496, 53, 0 2 1
42.8, 2.112, 22, 2 2 1
48.8, 1.866, 18, 0 2 3
49.0, 1.859, 18, 6 2 -3



No. 7
Starting from a crystal structure in Alexandria, relaxed with GGA-PBE, the powder diffraction line list of PuBrCl3 was calculated for Cu Kα.
Intensities are scaled so that the largest is 100.

```
data_PuBrCl3
_cell_length_a 6.6216
_cell_length_b 8.2364
_cell_length_c 6.7408
_cell_angle_alpha 90.00
_cell_angle_beta 90.84
_cell_angle_gamma 90.00
_space_group_name_H-M_alt 'P 1 21/m 1'
_space_group_IT_number 11
_space_group_name_Hall '-P 2yb'
loop_
_atom_site_label
_atom_site_fract_x
_atom_site_fract_y
_atom_site_fract_z
Pu1 0.0013 0.2500 0.0008
Br1 0.2740 0.7500 0.2909
Cl1 0.1917 0.9997 0.8261
Cl2 0.2586 0.2500 0.2727
```

Principal peaks in the range 10° ≤ 2θ ≤ 90°, in order of rising 2θ:
2theta, d/Å, I_rel, index
13.1, 6.740, 100, 0 0 1
13.4, 6.621, 100, 1 0 0
18.6, 4.758, 72, 1 0 -1
18.9, 4.689, 29, 1 0 1
21.6, 4.118, 43, 0 2 0
28.7, 3.114, 91, 1 2 -1
29.9, 2.986, 35, 1 0 2
37.2, 2.418, 44, 2 2 -1
44.0, 2.060, 38, 0 4 0
46.0, 1.971, 31, 0 2 3



No. 8
Starting from a crystal structure in Alexandria, relaxed with GGA-PBE, the powder diffraction line list of Pu3Br5Cl was calculated for Cu Kα.
Intensities are scaled so that the largest is 100.

```
data_Pu3Br5Cl
_cell_length_a 10.2022
_cell_length_b 29.9777
_cell_length_c 4.2162
_cell_angle_alpha 90.00
_cell_angle_beta 90.00
_cell_angle_gamma 90.00
_space_group_name_H-M_alt 'C m m m'
_space_group_IT_number 65
_space_group_name_Hall '-C 2 2'
loop_
_atom_site_label
_atom_site_fract_x
_atom_site_fract_y
_atom_site_fract_z
Pu1 0.0000 0.0000 0.0000
Pu2 0.0000 0.1595 0.5000
Pu3 0.0000 0.3296 0.0000
Pu4 0.0000 0.5000 0.5000
Br1 0.0000 0.2303 0.0000
Br2 0.0000 0.4306 0.0000
Br3 0.2065 0.0000 0.5000
Br4 0.2067 0.3340 0.5000
Cl1 0.0000 0.0967 0.0000
```

Principal peaks in the range 10° ≤ 2θ ≤ 90°, in order of rising 2θ:
2theta, d/Å, I_rel, index
17.4, 5.101, 83, 2 0 0
17.8, 4.996, 99, 0 6 0
24.5, 3.630, 100, 1 3 1
27.7, 3.221, 26, 0 6 1
35.1, 2.559, 84, 3 3 1
35.2, 2.551, 32, 4 0 0
35.5, 2.532, 72, 1 9 1
35.9, 2.498, 28, 0 12 0
42.9, 2.108, 24, 0 0 2
43.7, 2.072, 70, 3 9 1



No. 9
Starting from a crystal structure in Alexandria, relaxed with GGA-PBE, the powder diffraction line list of RbPuBrCl2 was calculated for Cu Kα.
Intensities are scaled so that the largest is 100.

```
data_RbPuBrCl2
_cell_length_a 5.5603
_cell_length_b 5.5603
_cell_length_c 6.0144
_cell_angle_alpha 90.00
_cell_angle_beta 90.00
_cell_angle_gamma 90.00
_space_group_name_H-M_alt 'P 4 m m'
_space_group_IT_number 99
_space_group_name_Hall 'P 4 -2'
loop_
_atom_site_label
_atom_site_fract_x
_atom_site_fract_y
_atom_site_fract_z
Rb1 0.0000 0.0000 0.0000
Pu1 0.5000 0.5000 0.3998
Br1 0.5000 0.5000 0.8888
Cl1 0.0000 0.5000 0.3504
```

Principal peaks in the range 10° ≤ 2θ ≤ 90°, in order of rising 2θ:
2theta, d/Å, I_rel, index
15.9, 5.560, 100, 1 0 0
21.8, 4.083, 97, 1 0 1
22.6, 3.932, 92, 1 1 0
29.7, 3.007, 36, 0 0 2
32.2, 2.780, 81, 2 0 0
33.9, 2.645, 57, 1 0 2
37.7, 2.389, 44, 1 1 2
39.2, 2.298, 44, 2 1 1
44.4, 2.041, 47, 2 0 2
47.4, 1.916, 45, 2 1 2



No. 10
Starting from a crystal structure in Alexandria, relaxed with GGA-PBE, the powder diffraction line list of RbBr3Cl12 was calculated for Cu Kα.
Intensities are scaled so that the largest is 100.

```
data_RbBr3Cl12
_cell_length_a 10.7428
_cell_length_b 10.7428
_cell_length_c 41.8390
_cell_angle_alpha 90.00
_cell_angle_beta 90.00
_cell_angle_gamma 120.00
_space_group_name_H-M_alt 'R 3 c'
_space_group_IT_number 161
_space_group_name_Hall 'R 3 -2"c'
loop_
_atom_site_label
_atom_site_fract_x
_atom_site_fract_y
_atom_site_fract_z
Rb1 0.0000 0.0000 0.0000
Br1 0.0368 0.3651 0.0642
Cl1 0.0001 0.2673 0.4539
Cl2 0.0032 0.3233 0.0083
Cl3 0.0703 0.2334 0.5661
Cl4 0.1817 0.4280 0.8962
```

Principal peaks in the range 10° ≤ 2θ ≤ 90°, in order of rising 2θ:
2theta, d/Å, I_rel, index
10.4, 8.501, 40, 0 1 2
12.7, 6.967, 77, 0 0 6
16.5, 5.371, 26, 1 1 0
17.7, 5.012, 100, 1 1 3
20.9, 4.253, 54, 0 2 4
25.6, 3.485, 22, 0 0 12
28.8, 3.101, 40, 3 0 0
34.0, 2.637, 34, 2 2 3
38.7, 2.325, 24, 0 0 18
45.1, 2.009, 21, 4 1 3



No. 11
Starting from a crystal structure in Alexandria, relaxed with GGA-PBE, the powder diffraction line list of RbBr4Cl6 was calculated for Cu Kα.
Intensities are scaled so that the largest is 100.

```
data_RbBr4Cl6
_cell_length_a 6.7076
_cell_length_b 6.7267
_cell_length_c 10.0287
_cell_angle_alpha 90.90
_cell_angle_beta 90.21
_cell_angle_gamma 100.49
_space_group_name_H-M_alt 'P 1'
_space_group_IT_number 1
_space_group_name_Hall 'P 1'
loop_
_atom_site_label
_atom_site_fract_x
_atom_site_fract_y
_atom_site_fract_z
Rb1 0.0000 0.0000 0.0000
Br1 0.2905 0.3001 0.6852
Br2 0.3591 0.0017 0.2694
Br3 0.7812 0.7911 0.6712
Br4 0.9932 0.3657 0.2687
Cl1 0.1568 0.1666 0.4514
Cl2 0.3865 0.3958 0.8967
Cl3 0.4837 0.8548 0.0905
Cl4 0.5090 0.9711 0.6912
Cl5 0.8479 0.4862 0.0902
Cl6 0.9624 0.5207 0.6927
```

Principal peaks in the range 10° ≤ 2θ ≤ 90°, in order of rising 2θ:
2theta, d/Å, I_rel, index
13.4, 6.604, 35, 1 0 0
17.7, 5.014, 34, 0 0 2
19.3, 4.606, 28, 1 -1 1
19.4, 4.576, 30, -1 1 1
20.7, 4.295, 46, 1 1 0
22.4, 3.970, 100, 1 1 -1
26.7, 3.342, 27, 0 0 3
27.0, 3.302, 29, 0 2 0
27.1, 3.286, 25, 1 1 -2
27.5, 3.238, 34, 1 1 2



No. 12
Starting from a crystal structure in Alexandria, relaxed with GGA-PBE, the powder diffraction line list of Rb6Br4Cl was calculated for Cu Kα.
Intensities are scaled so that the largest is 100.

```
data_Rb6Br4Cl
_cell_length_a 14.1689
_cell_length_b 14.1689
_cell_length_c 16.9891
_cell_angle_alpha 90.00
_cell_angle_beta 90.00
_cell_angle_gamma 120.00
_space_group_name_H-M_alt 'R -3 c'
_space_group_IT_number 167
_space_group_name_Hall '-R 3 2"c'
loop_
_atom_site_label
_atom_site_fract_x
_atom_site_fract_y
_atom_site_fract_z
Rb1 0.0266 0.1959 0.3871
Br1 0.0000 0.0000 0.2500
Br2 0.0000 0.3782 0.2500
Cl1 0.0000 0.0000 0.0000
```

Principal peaks in the range 10° ≤ 2θ ≤ 90°, in order of rising 2θ:
2theta, d/Å, I_rel, index
21.8, 4.071, 21, 1 2 2
22.1, 4.014, 19, 1 0 4
26.7, 3.337, 66, 1 3 1
28.5, 3.132, 53, 2 1 4
29.7, 3.003, 100, 2 2 3
33.5, 2.675, 24, 4 1 0
38.4, 2.346, 20, 3 2 4
44.3, 2.045, 18, 6 0 0
53.4, 1.717, 21, 5 3 2
56.8, 1.620, 18, 3 5 4



No. 13
Starting from a crystal structure in Alexandria, relaxed with GGA-PBE, the powder diffraction line list of Rb5Br2Cl3 was calculated for Cu Kα.
Intensities are scaled so that the largest is 100.

```
data_Rb5Br2Cl3
_cell_length_a 17.2877
_cell_length_b 4.6922
_cell_length_c 12.4577
_cell_angle_alpha 90.00
_cell_angle_beta 126.31
_cell_angle_gamma 90.00
_space_group_name_H-M_alt 'C 1 2/m 1'
_space_group_IT_number 12
_space_group_name_Hall '-C 2y'
loop_
_atom_site_label
_atom_site_fract_x
_atom_site_fract_y
_atom_site_fract_z
Rb1 0.0000 0.0000 0.0000
Rb2 0.0928 0.0000 0.4114
Rb3 0.2038 0.5000 0.8070
Br1 0.1729 0.5000 0.2706
Cl1 0.0000 0.5000 0.5000
Cl2 0.1138 0.0000 0.8756
```

Principal peaks in the range 10° ≤ 2θ ≤ 90°, in order of rising 2θ:
2theta, d/Å, I_rel, index
24.1, 3.693, 24, 1 1 -2
25.3, 3.521, 100, 3 1 -2
27.0, 3.301, 24, 3 1 0
27.4, 3.259, 68, 2 0 2
33.7, 2.660, 57, 6 0 -4
37.5, 2.396, 28, 5 1 0
37.7, 2.387, 29, 1 1 -4
38.4, 2.346, 31, 0 2 0
47.8, 1.904, 28, 2 2 2
51.9, 1.760, 20, 6 2 -4